No. 1
This entry pairs a crystal structure of K2PtAu with its theoretical X-ray diffraction stick pattern. Radiation: λ = 1.5418 Å (Cu Kα). Structure: a PBE-relaxed structure.
No peak broadening, texture or thermal motion is included.

Structure:
a b c (Å): 8.722 8.722 8.722
angles (deg): 95.20 95.20 144.97
Atoms (fractional coordinates):
K  0.375  0.169  0.294
K  0.831  0.125  0.206
K  0.875  0.081  0.706
K  0.919  0.625  0.794
Pt  0.000  0.000  0.000
Pt  0.750  0.250  0.500
Au  0.250  0.750  0.500
Au  0.500  0.500  0.000

Largest 6 diffraction maxima, sorted by position, 10° ≤ 2θ ≤ 90°:
- 15.06°, I = 100
- 21.36°, I = 31
- 30.39°, I = 26
- 34.09°, I = 32
- 35.87°, I = 27
- 42.13°, I = 34


No. 2
This entry pairs a crystal structure of KPuSb2Au2 with its theoretical X-ray diffraction stick pattern. Radiation: λ = 1.5418 Å (Cu Kα). Structure: a PBE-relaxed structure.
No peak broadening, texture or thermal motion is included.

Structure:
a b c (Å): 4.724 4.724 8.960
angles (deg): 90.00 90.00 120.00
Atoms (fractional coordinates):
K  0.000  0.000  0.000
Pu  0.000  0.000  0.500
Sb  0.333  0.667  0.713
Sb  0.667  0.333  0.287
Au  0.333  0.667  0.298
Au  0.667  0.333  0.702

Largest 6 diffraction maxima, sorted by position, 10° ≤ 2θ ≤ 90°:
- 29.57°, I = 100
- 37.28°, I = 33
- 38.10°, I = 69
- 48.95°, I = 25
- 63.67°, I = 23
- 65.37°, I = 23


No. 3
This entry pairs a crystal structure of KPuTe2Au with its theoretical X-ray diffraction stick pattern. Radiation: λ = 1.5418 Å (Cu Kα). Structure: a PBE-relaxed structure.
No peak broadening, texture or thermal motion is included.

Structure:
a b c (Å): 8.572 5.128 8.413
angles (deg): 90.00 99.87 90.00
Atoms (fractional coordinates):
K  0.000  0.181  0.250
K  0.000  0.819  0.750
Pu  0.500  0.490  0.750
Pu  0.500  0.510  0.250
Te  0.246  0.305  0.960
Te  0.246  0.695  0.460
Te  0.754  0.305  0.540
Te  0.754  0.695  0.040
Au  0.500  0.000  0.000
Au  0.500  0.000  0.500

Largest 6 diffraction maxima, sorted by position, 10° ≤ 2θ ≤ 90°:
- 10.48°, I = 100
- 27.68°, I = 18
- 28.29°, I = 25
- 30.99°, I = 29
- 32.63°, I = 25
- 41.19°, I = 19


No. 4
This entry pairs a crystal structure of K3Rb2Au3 with its theoretical X-ray diffraction stick pattern. Radiation: λ = 1.5418 Å (Cu Kα). Structure: a PBE-relaxed structure.
No peak broadening, texture or thermal motion is included.

Structure:
a b c (Å): 9.989 9.989 7.495
angles (deg): 90.00 90.00 120.00
Atoms (fractional coordinates):
K  0.000  0.258  0.250
K  0.000  0.742  0.750
K  0.258  0.000  0.250
K  0.258  0.258  0.750
K  0.742  0.000  0.750
K  0.742  0.742  0.250
Rb  0.333  0.667  0.000
Rb  0.333  0.667  0.500
Rb  0.667  0.333  0.000
Rb  0.667  0.333  0.500
Au  0.000  0.392  0.750
Au  0.000  0.608  0.250
Au  0.392  0.000  0.750
Au  0.392  0.392  0.250
Au  0.608  0.000  0.250
Au  0.608  0.608  0.750

Largest 6 diffraction maxima, sorted by position, 10° ≤ 2θ ≤ 90°:
- 10.23°, I = 32
- 21.38°, I = 61
- 29.81°, I = 100
- 31.01°, I = 37
- 39.43°, I = 40
- 58.77°, I = 28


No. 5
This entry pairs a crystal structure of KRb6Au2 with its theoretical X-ray diffraction stick pattern. Radiation: λ = 1.5418 Å (Cu Kα). Structure: a PBE-relaxed structure.
No peak broadening, texture or thermal motion is included.

Structure:
a b c (Å): 11.195 11.195 11.195
angles (deg): 111.15 109.26 108.01
Atoms (fractional coordinates):
K  0.000  0.000  0.000
K  0.500  0.500  0.000
Rb  0.009  0.775  0.234
Rb  0.173  0.309  0.482
Rb  0.173  0.691  0.865
Rb  0.327  0.010  0.683
Rb  0.327  0.644  0.317
Rb  0.459  0.225  0.234
Rb  0.541  0.775  0.766
Rb  0.673  0.356  0.683
Rb  0.673  0.990  0.317
Rb  0.827  0.309  0.135
Rb  0.827  0.691  0.518
Rb  0.991  0.225  0.766
Au  0.112  0.612  0.500
Au  0.385  0.000  0.385
Au  0.615  0.000  0.615
Au  0.888  0.388  0.500

Largest 6 diffraction maxima, sorted by position, 10° ≤ 2θ ≤ 90°:
- 13.99°, I = 51
- 23.86°, I = 75
- 25.65°, I = 100
- 25.87°, I = 72
- 26.08°, I = 49
- 35.62°, I = 45


No. 6
This entry pairs a crystal structure of K4Rb4Au7 with its theoretical X-ray diffraction stick pattern. Radiation: λ = 1.5418 Å (Cu Kα). Structure: a PBE-relaxed structure.
No peak broadening, texture or thermal motion is included.

Structure:
a b c (Å): 12.129 12.129 12.129
angles (deg): 98.70 98.70 134.23
Atoms (fractional coordinates):
K  0.111  0.611  0.222
K  0.111  0.889  0.500
K  0.389  0.611  0.500
K  0.389  0.889  0.778
K  0.611  0.111  0.222
K  0.611  0.389  0.500
K  0.889  0.111  0.500
K  0.889  0.389  0.778
Rb  0.000  0.185  0.185
Rb  0.000  0.815  0.815
Rb  0.185  0.000  0.185
Rb  0.371  0.371  0.741
Rb  0.371  0.629  0.000
Rb  0.629  0.371  0.000
Rb  0.629  0.629  0.259
Rb  0.815  0.000  0.815
Au  0.000  0.411  0.411
Au  0.000  0.589  0.589
Au  0.178  0.500  0.678
Au  0.215  0.215  0.430
Au  0.215  0.785  0.000
Au  0.248  0.248  0.000
Au  0.411  0.000  0.411
Au  0.500  0.178  0.678
Au  0.500  0.822  0.322
Au  0.589  0.000  0.589
Au  0.752  0.752  0.000
Au  0.785  0.215  0.000
Au  0.785  0.785  0.570
Au  0.822  0.500  0.322

Largest 6 diffraction maxima, sorted by position, 10° ≤ 2θ ≤ 90°:
- 18.81°, I = 60
- 20.44°, I = 31
- 25.98°, I = 46
- 29.81°, I = 100
- 31.64°, I = 51
- 40.47°, I = 44